(1)
Simulated PXRD pattern
Compound: Ho2Te5
Radiation: Cu Kα (weighted mean of Kα1 and Kα2)
Structure: a structure optimized by DFT (PBE)

Structural model:
a = 21.984 Å, b = 21.984 Å, c = 4.366 Å
α = 90.00°, β = 90.00°, γ = 168.61°
Fractional positions:
Ho1 0.100 0.900 0.750
Ho2 0.306 0.694 0.750
Ho3 0.694 0.306 0.250
Ho4 0.900 0.100 0.250
Te1 0.044 0.956 0.250
Te2 0.174 0.826 0.750
Te3 0.250 0.750 0.250
Te4 0.378 0.622 0.750
Te5 0.456 0.544 0.250
Te6 0.544 0.456 0.750
Te7 0.622 0.378 0.250
Te8 0.750 0.250 0.750
Te9 0.826 0.174 0.250
Te10 0.956 0.044 0.750

Largest 10 diffraction maxima, sorted by position, 10 to 80 degrees two-theta:
2θ/deg  intensity
28.6  359
29.0  225
30.7  1000
34.4  573
36.9  240
41.3  345
41.4  302
51.0  285
59.9  258
68.9  202

(2)
Simulated PXRD pattern
Compound: Ho2TmTe3
Radiation: Cu Kα (weighted mean of Kα1 and Kα2)
Structure: a structure optimized by DFT (PBE)

Structural model:
a = 4.313 Å, b = 4.313 Å, c = 10.595 Å
α = 90.00°, β = 90.00°, γ = 120.00°
Fractional positions:
Ho1 0.333 0.667 0.167
Ho2 0.667 0.333 0.833
Tm1 0.000 0.000 0.500
Te1 0.000 0.000 0.000
Te2 0.333 0.667 0.664
Te3 0.667 0.333 0.336

Largest 10 diffraction maxima, sorted by position, 10 to 80 degrees two-theta:
2θ/deg  intensity
25.3  36
29.3  1000
41.8  758
51.8  68
51.9  203
60.7  126
68.7  174
68.8  173
76.3  64
76.5  193

(3)
Simulated PXRD pattern
Compound: YHoTl4
Radiation: Cu Kα (weighted mean of Kα1 and Kα2)
Structure: a structure optimized by DFT (PBE)

Structural model:
a = 4.670 Å, b = 7.658 Å, c = 7.658 Å
α = 35.65°, β = 90.00°, γ = 90.00°
Fractional positions:
Y1 0.000 0.000 0.000
Ho1 0.000 0.310 0.310
Tl1 0.000 0.655 0.655
Tl2 0.500 0.155 0.155
Tl3 0.500 0.479 0.479
Tl4 0.500 0.831 0.831

Largest 10 diffraction maxima, sorted by position, 10 to 80 degrees two-theta:
2θ/deg  intensity
32.7  1000
37.0  168
38.4  167
38.6  165
54.4  112
55.6  116
64.0  122
65.9  136
66.1  135
68.6  112

(4)
Simulated PXRD pattern
Compound: YHo2Tm5
Radiation: Cu Kα (weighted mean of Kα1 and Kα2)
Structure: a structure optimized by DFT (PBE)

Structural model:
a = 5.540 Å, b = 7.169 Å, c = 7.169 Å
α = 60.01°, β = 90.00°, γ = 90.00°
Fractional positions:
Y1 0.000 0.000 0.000
Ho1 0.000 0.500 0.500
Ho2 0.500 0.168 0.168
Tm1 0.000 0.000 0.500
Tm2 0.000 0.500 0.000
Tm3 0.500 0.167 0.665
Tm4 0.500 0.665 0.167
Tm5 0.500 0.667 0.667

Largest 10 diffraction maxima, sorted by position, 10 to 80 degrees two-theta:
2θ/deg  intensity
28.8  242
32.3  236
33.1  1000
43.8  157
50.9  201
58.1  201
61.6  224
62.1  164
69.4  40
75.1  32

(5)
Simulated PXRD pattern
Compound: Y2HoTm
Radiation: Cu Kα (weighted mean of Kα1 and Kα2)
Structure: a structure optimized by DFT (PBE)

Structural model:
a = 5.605 Å, b = 7.225 Å, c = 7.225 Å
α = 119.97°, β = 90.00°, γ = 90.00°
Fractional positions:
Y1 0.250 0.083 0.917
Y2 0.250 0.581 0.915
Y3 0.750 0.915 0.581
Y4 0.750 0.917 0.083
Ho1 0.250 0.083 0.415
Ho2 0.750 0.415 0.083
Tm1 0.250 0.581 0.415
Tm2 0.750 0.415 0.581

Largest 10 diffraction maxima, sorted by position, 10 to 80 degrees two-theta:
2θ/deg  intensity
14.2  70
28.5  240
31.9  238
32.8  1000
43.3  158
50.5  207
57.5  199
61.0  221
61.5  162
80.0  50

(6)
Simulated PXRD pattern
Compound: Y3Ho5
Radiation: Cu Kα (weighted mean of Kα1 and Kα2)
Structure: a structure optimized by DFT (PBE)

Structural model:
a = 7.233 Å, b = 7.233 Å, c = 5.615 Å
α = 90.00°, β = 90.00°, γ = 120.00°
Fractional positions:
Y1 0.000 0.500 0.000
Y2 0.500 0.000 0.000
Y3 0.500 0.500 0.000
Ho1 0.000 0.000 0.000
Ho2 0.332 0.166 0.500
Ho3 0.333 0.667 0.500
Ho4 0.834 0.166 0.500
Ho5 0.834 0.668 0.500

Largest 10 diffraction maxima, sorted by position, 10 to 80 degrees two-theta:
2θ/deg  intensity
15.8  47
28.5  264
31.9  236
32.7  1000
43.3  172
50.5  197
57.3  201
60.9  220
61.5  163
79.9  77